Structure and computed powder X-ray diffraction pattern of Ho4Sc3In4 (a crystal structure in Alexandria, relaxed with GGA-PBE; Cu Kα).

Peak list (8 most intense, 10 to 90 degrees two-theta, low angle first)
26.92°, rel. 47.5
30.19°, rel. 42.7
32.28°, rel. 100.0
33.22°, rel. 60.7
34.23°, rel. 53.8
34.70°, rel. 60.9
40.74°, rel. 51.5
47.71°, rel. 42.7

Structural model:
a b c (Å): 10.5626 10.5626 10.5626
angles (deg): 161.67 127.81 55.79
Atoms (fractional coordinates):
Ho  0.0218  0.8409  0.1808
Ho  0.3399  0.1591  0.1808
Ho  0.6601  0.8409  0.8192
Ho  0.9782  0.1591  0.8192
Sc  0.0000  0.5000  0.5000
Sc  0.4083  0.4083  0.0000
Sc  0.5917  0.5917  0.0000
In  0.2760  0.7760  0.5000
In  0.2810  0.0000  0.2810
In  0.7190  0.0000  0.7190
In  0.7240  0.2240  0.5000